Diffraction record for ZnCrO2. The powder X-ray diffraction pattern is calculated, not measured: it uses a DFT-relaxed cell (PBE+U, the Materials Project) and Cu Ka.

Top 6 peaks for 10° ≤ 2θ ≤ 90°, low angle first:
| d (Å) | two_theta | I/Imax | index |
| --- | --- | --- | --- |
| 2.733 | 32.76 | 77 | 0 1 3 |
| 2.594 | 34.57 | 51 | 0 2 -2 |
| 2.547 | 35.24 | 100 | 1 1 -1 |
| 2.532 | 35.45 | 51 | 0 3 1 |
| 1.905 | 47.74 | 30 | -1 2 2 |
| 1.487 | 62.44 | 33 | 2 1 1 |

Crystal structure
Cell: 2.975 7.795 8.489 Å, 79.41 80.46 80.24°
Positions (direct):
Zn 0.000 0.000 0.000
Zn 0.190 0.332 0.257
Zn 0.606 0.613 0.160
Zn 0.795 0.946 0.417
Cr 0.230 0.758 0.789
Cr 0.567 0.187 0.628
Cr 0.835 0.349 0.951
Cr 0.962 0.598 0.464
O 0.179 0.130 0.453
O 0.302 0.500 0.880
O 0.356 0.175 0.076
O 0.441 0.771 0.340
O 0.502 0.443 0.526
O 0.618 0.815 0.964
O 0.803 0.765 0.629
O 0.995 0.180 0.787